Calculated powder X-ray diffraction pattern
Compound: HgPb2SO6
Radiation: copper Kα
Structure: a DFT-relaxed cell (PBE, Alexandria)
Kinematic intensities with the Lorentz-polarization factor, no thermal factor.

Main lines, by intensity (2θ from 15° to 90°):
2θ (°), Rel. int.
26.31, 100.0
30.30, 54.2
26.68, 40.7
44.22, 31.0
31.16, 26.5
35.39, 19.9
58.17, 17.1
50.14, 15.6
48.40, 15.1
21.00, 14.4

Cell: 6.4558 6.4558 6.9334 Å, 106.95 106.95 41.27°
Element x y z (fractional)
Hg1 0.0000 0.0000 0.0000
Pb1 0.1770 0.2931 0.7700
Pb2 0.7069 0.8230 0.2300
S1 0.4671 0.5329 0.5000
O1 0.1757 0.1765 0.0561
O2 0.1920 0.6231 0.5407
O3 0.3769 0.8080 0.4593
O4 0.6023 0.2909 0.3159
O5 0.7091 0.3977 0.6841
O6 0.8235 0.8243 0.9439